K3Na7: simulated powder diffractogram (Cu Kα (weighted mean of Kα1 and Kα2)), based on the GGA-PBE geometry in Alexandria.
Peak positions follow from Bragg's law for the DFT cell and can differ from measured ones.

Main lines, in order of rising 2θ (10° ≤ 2θ ≤ 90°):
- 26.9 deg, 3.315 Å, I 100, (1 1 -2)
- 27.2 deg, 3.276 Å, I 97, (5 1 0)
- 30.5 deg, 2.928 Å, I 70, (0 2 0)
- 32.9 deg, 2.719 Å, I 29, (4 0 2)
- 43.7 deg, 2.071 Å, I 23, (6 2 -2)
- 45.5 deg, 1.992 Å, I 22, (4 2 2)

Crystal structure
```
data_K3Na7
_chemical_formula_sum 'K6 Na14'
_cell_length_a 20.5238
_cell_length_b 5.8503
_cell_length_c 8.0686
_cell_angle_alpha 90.00
_cell_angle_beta 105.61
_cell_angle_gamma 90.00
_symmetry_space_group_name_H-M 'C 1 2/m 1'
_symmetry_Int_Tables_number 12
_symmetry_space_group_name_Hall '-C 2y'
loop_
_atom_site_label
_atom_site_type_symbol
_atom_site_fract_x
_atom_site_fract_y
_atom_site_fract_z
_atom_site_occupancy
K1 K 0.0000 0.0000 0.0000 1
K2 K 0.1996 0.0000 0.6123 1
Na1 Na 0.0000 0.0000 0.5000 1
Na2 Na 0.0887 0.5000 0.3153 1
Na3 Na 0.1053 0.5000 0.8177 1
Na4 Na 0.1991 0.0000 0.0931 1
```